Calculated powder diffraction line list
Compound: Al3As
Radiation: Cu Kα, 1.54184 Å
Structure: a crystal structure in Alexandria, relaxed with GGA-PBE
Lines closer than 0.1° are merged.

Crystal structure
Unit cell a=2.684 b=4.873 c=5.577 alpha=90.00 beta=95.31 gamma=90.00
Fractional coordinates of all 4 atoms:
Al  0.000  0.000  0.000
Al  0.222  0.500  0.765
Al  0.778  0.500  0.235
As  0.000  0.000  0.500

The 6 most intense peaks (10 to 80 degrees two-theta), by angle:
hkl 0 0 1, d 5.553, 2θ = 15.96°, rel. 32; hkl 0 1 1, d 3.663, 2θ = 24.30°, rel. 38; hkl 1 0 0, d 2.673, 2θ = 33.53°, rel. 35; hkl 0 2 0, d 2.437, 2θ = 36.89°, rel. 52; hkl 0 1 2, d 2.413, 2θ = 37.27°, rel. 100; hkl 1 1 0, d 2.343, 2θ = 38.41°, rel. 33